No. 1
Diffraction record for K5Na3Ta4Nb4O24. The X-ray powder pattern is computed, not measured: it uses DFT lattice parameters and positions (GGA-PBE) and copper Kα.
No peak broadening, texture or thermal motion is included.

Largest 8 diffraction maxima, by angle, 10 to 90 degrees two-theta:
22.09°, I 72.4, hkl 2 2 0
31.45°, I 100.0, hkl 4 0 0
45.07°, I 36.0, hkl 4 4 0
50.74°, I 30.8, hkl 6 2 0
55.99°, I 39.1, hkl 6 2 2
65.64°, I 21.2, hkl 8 0 0
70.18°, I 14.4, hkl 8 0 2
74.60°, I 16.7, hkl 8 4 0

Structure:
Cell lengths 11.3794, 11.3795, 8.0459 Å; angles 90.00, 90.00, 90.00 degrees
Space group Cm (No. 8)
Symmetry-distinct sites (fractional):
1 K 0.0000 0.0000 0.0000
2 K 0.0000 0.0000 0.5002
3 K 0.9998 0.5000 0.0000
4 K 0.2499 0.2499 0.0000
5 Na 0.9999 0.5000 0.5001
6 Na 0.2499 0.2500 0.5001
7 Ta 0.9999 0.2502 0.2508
8 Ta 0.2497 0.5000 0.2508
9 Ta 0.2497 0.5000 0.7494
10 Nb 0.9999 0.2502 0.7494
11 Nb 0.2501 0.0000 0.2508
12 Nb 0.2502 0.0000 0.7494
13 O 0.9999 0.2501 0.0012
14 O 0.9999 0.2507 0.4990
15 O 0.1252 0.1254 0.7493
16 O 0.1247 0.1259 0.2509
17 O 0.1250 0.3751 0.2516
18 O 0.1254 0.3756 0.7486
19 O 0.2492 0.5000 0.4999
20 O 0.2500 0.0000 0.0003
21 O 0.2498 0.5000 0.0003
22 O 0.2506 0.0000 0.5000
23 O 0.3745 0.3747 0.2509
24 O 0.3740 0.3752 0.7493
25 O 0.3750 0.1250 0.7486
26 O 0.3755 0.1255 0.2516



No. 2
Diffraction record for KNaNdTaO5. The X-ray powder pattern is computed, not measured: it uses DFT lattice parameters and positions (GGA-PBE) and copper Kα.
No peak broadening, texture or thermal motion is included.

Largest 8 diffraction maxima, by angle, 10 to 90 degrees two-theta:
10.61°, I 32.7, hkl 0 0 1
18.65°, I 65.3, hkl 1 0 1
30.60°, I 100.0, hkl 1 1 2
30.88°, I 40.4, hkl 2 0 0
36.32°, I 20.6, hkl 2 1 1
44.23°, I 27.7, hkl 2 2 0
54.22°, I 24.4, hkl 2 0 4
54.74°, I 38.3, hkl 3 1 2

Structure:
Cell lengths 5.7922, 5.7922, 8.3377 Å; angles 90.00, 90.00, 90.00 degrees
Space group P4/nmm (No. 129, origin choice 2)
Symmetry-distinct sites (fractional):
1 K 0.2500 0.7500 0.0000
2 Na 0.2500 0.2500 0.2407
3 Nd 0.2500 0.7500 0.5000
4 Ta 0.2500 0.2500 0.7427
5 O 0.0200 0.0200 0.6715
6 O 0.2500 0.2500 0.9656



No. 3
Diffraction record for K2NaO2. The X-ray powder pattern is computed, not measured: it uses DFT lattice parameters and positions (GGA-PBE) and copper Kα.
No peak broadening, texture or thermal motion is included.

Largest 8 diffraction maxima, by angle, 10 to 90 degrees two-theta:
19.52°, I 100.0, hkl 1 0 0
27.74°, I 40.1, hkl 1 1 0
28.05°, I 20.1, hkl 1 0 3
39.63°, I 13.8, hkl 2 0 0
44.55°, I 18.8, hkl 2 1 0
45.36°, I 17.4, hkl 1 0 6
49.82°, I 12.6, hkl 1 1 6
61.78°, I 11.8, hkl 2 1 6

Structure:
Cell lengths 4.5481, 4.5481, 13.3570 Å; angles 90.00, 90.00, 90.00 degrees
Space group P4/mmm (No. 123)
Symmetry-distinct sites (fractional):
1 K 0.0000 0.0000 0.1633
2 Na 0.0000 0.0000 0.5000
3 O 0.0000 0.0000 0.3371



No. 4
Diffraction record for KNaO3. The X-ray powder pattern is computed, not measured: it uses DFT lattice parameters and positions (GGA-PBE) and copper Kα.
No peak broadening, texture or thermal motion is included.

Largest 8 diffraction maxima, by angle, 10 to 90 degrees two-theta:
28.43°, I 100.0, hkl 1 1 0
35.01°, I 70.3, hkl 1 1 1
40.64°, I 99.2, hkl 2 0 0
50.34°, I 38.1, hkl 2 1 1
58.83°, I 53.7, hkl 2 2 0
66.61°, I 15.6, hkl 3 1 0
70.32°, I 15.8, hkl 3 1 1
81.04°, I 17.0, hkl 3 2 1

Structure:
Cell lengths 4.4398, 4.4398, 4.4398 Å; angles 90.00, 90.00, 90.00 degrees
Space group Pm-3m (No. 221)
Symmetry-distinct sites (fractional):
1 K 0.0000 0.0000 0.0000
2 Na 0.5000 0.5000 0.5000
3 O 0.0000 0.5000 0.5000



No. 5
Diffraction record for K3NaOs2O9. The X-ray powder pattern is computed, not measured: it uses DFT lattice parameters and positions (GGA-PBE) and copper Kα.
No peak broadening, texture or thermal motion is included.

Largest 8 diffraction maxima, by angle, 10 to 90 degrees two-theta:
16.87°, I 28.1, hkl 1 0 0
17.95°, I 100.0, hkl 1 0 1
29.43°, I 56.3, hkl 1 1 0
29.94°, I 26.1, hkl 1 0 4
35.34°, I 23.7, hkl 1 0 5
38.69°, I 22.3, hkl 1 1 4
42.48°, I 18.9, hkl 2 0 4
56.11°, I 16.8, hkl 2 1 5

Structure:
Cell lengths 6.0691, 6.0691, 14.5056 Å; angles 90.00, 90.00, 120.00 degrees
Space group P6_3/mmc (No. 194)
Symmetry-distinct sites (fractional):
1 K 0.0000 0.0000 0.2500
2 K 0.3333 0.6667 0.1092
3 Na 0.0000 0.0000 0.0000
4 Os 0.3333 0.6667 0.6493
5 O 0.0638 0.5319 0.7500
6 O 0.1818 0.3636 0.5906



No. 6
Diffraction record for K2Na3P3O10. The X-ray powder pattern is computed, not measured: it uses DFT lattice parameters and positions (GGA-PBE) and copper Kα.
No peak broadening, texture or thermal motion is included.

Largest 8 diffraction maxima, by angle, 10 to 90 degrees two-theta:
17.83°, I 21.2, hkl 2 0 0
18.30°, I 39.3, hkl 1 1 -1
28.51°, I 43.7, hkl 0 0 6
29.07°, I 27.5, hkl 1 1 -5
31.11°, I 100.0, hkl 3 1 -1
31.37°, I 25.1, hkl 0 2 0
35.49°, I 27.7, hkl 2 0 6
42.19°, I 41.7, hkl 2 2 4

Structure:
Cell lengths 10.0098, 5.7025, 18.8928 Å; angles 90.00, 96.18, 90.00 degrees
Space group C2/c (No. 15)
Symmetry-distinct sites (fractional):
1 K 0.0945 0.2279 0.0774
2 Na 0.2183 0.1919 0.3277
3 Na 0.2500 0.2500 0.5000
4 P 0.0000 0.4044 0.7500
5 P 0.0678 0.2708 0.8987
6 O 0.0452 0.2135 0.8113
7 O 0.0730 0.2757 0.5769
8 O 0.1205 0.4578 0.2308
9 O 0.1425 0.4952 0.4063
10 O 0.1511 0.0590 0.9266